ErCd2MoO6: calculated powder XRD pattern (Cu Kα, 1.54184 Å), based on a DFT-relaxed cell (GGA+U, Alexandria).
Lines closer than 0.1° are merged.

Cell and atoms:
a = 5.6273 Å, b = 5.6901 Å, c = 9.9111 Å
α = 90.00°, β = 124.45°, γ = 90.00°
Space group P2_1/c (No. 14)
Unique sites:
Er: 0.0000 0.0000 0.0000 [2 per cell]
Cd: 0.2460 0.0401 0.7467 [4 per cell]
Mo: 0.5000 0.0000 0.5000 [2 per cell]
O: 0.1400 0.1746 0.4434 [4 per cell]
O: 0.2812 0.7068 0.4423 [4 per cell]
O: 0.3685 0.0593 0.2624 [4 per cell]

The 6 most intense peaks (10 to 90 degrees two-theta), by intensity:
(1 1 -3), 2θ 31.29, rel. 100.0; (2 0 -2), 2θ 31.80, rel. 24.6; (0 2 0), 2θ 31.44, rel. 23.3; (2 2 -2), 2θ 45.33, rel. 21.1; (1 3 1), 2θ 55.88, rel. 17.3; (0 0 4), 2θ 44.33, rel. 12.9